Sc5Bi2CSe: calculated powder XRD pattern (CuKα), based on DFT lattice parameters and positions (GGA-PBE).
Intensities are scaled so that the largest is 100.

Cell and atoms:
Lattice parameters (Å, degrees): 4.398 4.398 10.302 90.00 90.00 90.00
Positions (direct):
Sc (0.000, 0.000, 0.000)
Sc (0.000, 0.500, 0.500)
Sc (0.500, 0.000, 0.500)
Sc (0.500, 0.500, 0.267)
Sc (0.500, 0.500, 0.733)
Bi (0.000, 0.000, 0.285)
Bi (0.000, 0.000, 0.715)
C (0.500, 0.500, 0.500)
Se (0.500, 0.500, 0.000)

Most intense lines, 2θ from 10° to 90°, by intensity:
2θ 28.71, intensity 100; 2θ 26.65, intensity 87; 2θ 33.66, intensity 76; 2θ 39.08, intensity 68; 2θ 41.04, intensity 67; 2θ 20.19, intensity 56; 2θ 70.81, intensity 39; 2θ 49.61, intensity 34; 2θ 54.90, intensity 34; 2θ 34.83, intensity 33; 2θ 45.74, intensity 29; 2θ 17.22, intensity 28